Record 1
This entry pairs a crystal structure of TbLu2Cu4Ge4 with its simulated XRD peak list. Radiation: copper Kα. Structure: DFT lattice parameters and positions (GGA-PBE).
Intensities are scaled so that the largest is 100.

Most intense lines, 2θ from 10° to 90°, low angle first:
35.2°, intensity 100
36.5°, intensity 85
39.3°, intensity 16
43.8°, intensity 30
45.3°, intensity 24
64.9°, intensity 22

Cell and atoms:
```
TbLu2Cu4Ge4
1.0
-2.0659 3.3325 6.8870
2.0659 -3.3325 6.8870
2.0659 3.3325 -6.8870
Tb Lu Cu Ge
1 2 4 4
Direct
0.0000 0.0000 0.0000 Tb
0.3707 0.8707 0.5000 Lu
0.6293 0.1293 0.5000 Lu
0.0216 0.3299 0.6917 Cu
0.3619 0.6701 0.6917 Cu
0.6381 0.3299 0.3083 Cu
0.9784 0.6701 0.3083 Cu
0.2181 0.2181 0.0000 Ge
0.3106 0.5000 0.8106 Ge
0.6894 0.5000 0.1894 Ge
0.7819 0.7819 0.0000 Ge
```



Record 2
This entry pairs a crystal structure of Ga2Hg3Cl8 with its simulated XRD peak list. Radiation: copper Kα. Structure: DFT lattice parameters and positions (GGA-PBE).
Intensities are scaled so that the largest is 100.

Most intense lines, 2θ from 10° to 90°, low angle first:
13.7°, intensity 31
17.0°, intensity 100
18.8°, intensity 24
19.0°, intensity 49
27.3°, intensity 58
32.1°, intensity 27

Cell and atoms:
```
Ga2Hg3Cl8
1.0
7.2537 0.0000 0.0000
0.0000 15.2387 0.0000
-2.3354 0.0000 14.1937
Ga Hg Cl
8 12 32
Direct
0.0976 0.1827 0.0955 Ga
0.0976 0.3173 0.5955 Ga
0.3069 0.6031 0.7771 Ga
0.3069 0.8969 0.2771 Ga
0.6931 0.1031 0.7229 Ga
0.6931 0.3969 0.2229 Ga
0.9024 0.6827 0.4045 Ga
0.9024 0.8173 0.9045 Ga
0.1296 0.5221 0.1960 Hg
0.1296 0.9779 0.6960 Hg
0.3134 0.6364 0.1076 Hg
0.3134 0.8636 0.6076 Hg
0.4938 0.7384 0.5340 Hg
0.4938 0.7616 0.0340 Hg
0.5062 0.2384 0.9660 Hg
0.5062 0.2616 0.4660 Hg
0.6866 0.1364 0.3924 Hg
0.6866 0.3636 0.8924 Hg
0.8704 0.0221 0.3040 Hg
0.8704 0.4779 0.8040 Hg
0.0130 0.5898 0.6989 Cl
0.0130 0.9102 0.1989 Cl
0.0950 0.1812 0.5443 Cl
0.0950 0.3188 0.0443 Cl
0.1549 0.6087 0.4568 Cl
0.1549 0.8913 0.9568 Cl
0.1782 0.1711 0.2477 Cl
0.1782 0.3289 0.7477 Cl
0.3210 0.1141 0.0274 Cl
0.3210 0.3859 0.5274 Cl
0.3237 0.5204 0.9029 Cl
0.3237 0.9796 0.4029 Cl
0.3488 0.7420 0.8113 Cl
0.3488 0.7580 0.3113 Cl
0.4981 0.5623 0.6829 Cl
0.4981 0.9377 0.1829 Cl
0.5019 0.0623 0.8171 Cl
0.5019 0.4377 0.3171 Cl
0.6512 0.2420 0.6887 Cl
0.6512 0.2580 0.1887 Cl
0.6763 0.0204 0.5971 Cl
0.6763 0.4796 0.0971 Cl
0.6790 0.6141 0.4726 Cl
0.6790 0.8859 0.9726 Cl
0.8218 0.6711 0.2523 Cl
0.8218 0.8289 0.7523 Cl
0.8451 0.1087 0.0432 Cl
0.8451 0.3913 0.5432 Cl
0.9050 0.6812 0.9557 Cl
0.9050 0.8188 0.4557 Cl
0.9870 0.0898 0.8011 Cl
0.9870 0.4102 0.3011 Cl
```



Record 3
This entry pairs a crystal structure of Ta17Al12 with its simulated XRD peak list. Radiation: copper Kα. Structure: DFT lattice parameters and positions (GGA-PBE).
Intensities are scaled so that the largest is 100.

Most intense lines, 2θ from 10° to 90°, low angle first:
12.4°, intensity 57
33.1°, intensity 35
37.7°, intensity 100
41.9°, intensity 55
65.2°, intensity 30
68.1°, intensity 28

Cell and atoms:
```
Ta17Al12
1.0
-5.0584 5.0584 5.0584
5.0584 -5.0584 5.0584
5.0584 5.0584 -5.0584
Ta Al
17 12
Direct
0.0000 0.0000 0.0000 Ta
0.0000 0.0000 0.6454 Ta
0.0000 0.1886 0.3753 Ta
0.0000 0.3753 0.1886 Ta
0.0000 0.6454 0.0000 Ta
0.1867 0.8114 0.8114 Ta
0.1886 0.0000 0.3753 Ta
0.1886 0.3753 0.0000 Ta
0.3546 0.3546 0.3546 Ta
0.3753 0.0000 0.1886 Ta
0.3753 0.1886 0.0000 Ta
0.6247 0.6247 0.8133 Ta
0.6247 0.8133 0.6247 Ta
0.6454 0.0000 0.0000 Ta
0.8114 0.1867 0.8114 Ta
0.8114 0.8114 0.1867 Ta
0.8133 0.6247 0.6247 Ta
0.0000 0.4111 0.6869 Al
0.0000 0.6869 0.4111 Al
0.2758 0.5889 0.5889 Al
0.3131 0.3131 0.7242 Al
0.3131 0.7242 0.3131 Al
0.4111 0.0000 0.6869 Al
0.4111 0.6869 0.0000 Al
0.5889 0.2758 0.5889 Al
0.5889 0.5889 0.2758 Al
0.6869 0.0000 0.4111 Al
0.6869 0.4111 0.0000 Al
0.7242 0.3131 0.3131 Al
```



Record 4
This entry pairs a crystal structure of HfBeCuGe with its simulated XRD peak list. Radiation: copper Kα. Structure: DFT lattice parameters and positions (GGA-PBE).
Intensities are scaled so that the largest is 100.

Most intense lines, 2θ from 10° to 90°, low angle first:
24.9°, intensity 37
28.9°, intensity 33
41.3°, intensity 100
48.9°, intensity 19
59.8°, intensity 16
75.3°, intensity 33

Cell and atoms:
```
HfBeCuGe
1.0
0.0000 3.0914 3.0914
3.0914 0.0000 3.0914
3.0914 3.0914 0.0000
Hf Be Cu Ge
1 1 1 1
Direct
0.0000 0.0000 0.0000 Hf
0.7500 0.7500 0.7500 Be
0.5000 0.5000 0.5000 Cu
0.2500 0.2500 0.2500 Ge
```



Record 5
This entry pairs a crystal structure of Sc4AlZnN2 with its simulated XRD peak list. Radiation: copper Kα. Structure: DFT lattice parameters and positions (GGA-PBE).
Intensities are scaled so that the largest is 100.

Most intense lines, 2θ from 10° to 90°, low angle first:
32.2°, intensity 18
37.5°, intensity 100
37.7°, intensity 17
50.4°, intensity 19
57.5°, intensity 20
67.9°, intensity 15

Cell and atoms:
```
Sc4AlZnN2
1.0
3.2058 0.0000 0.0000
-1.6029 2.7763 0.0000
0.0000 0.0000 14.3274
Sc Al Zn N
4 1 1 2
Direct
0.0000 0.0000 0.1606 Sc
0.0000 0.0000 0.8394 Sc
0.3333 0.6667 0.3332 Sc
0.3333 0.6667 0.6668 Sc
0.0000 0.0000 0.5000 Al
0.3333 0.6667 0.0000 Zn
0.6667 0.3333 0.2483 N
0.6667 0.3333 0.7517 N
```



Record 6
This entry pairs a crystal structure of CsTm3MgAs3 with its simulated XRD peak list. Radiation: copper Kα. Structure: DFT lattice parameters and positions (GGA-PBE).
Intensities are scaled so that the largest is 100.

Most intense lines, 2θ from 10° to 90°, low angle first:
25.1°, intensity 81
28.1°, intensity 100
36.4°, intensity 99
37.8°, intensity 60
39.0°, intensity 50
42.5°, intensity 92

Cell and atoms:
```
CsTm3MgAs3
1.0
4.6143 0.0000 0.0000
0.0000 4.7632 0.0000
0.0000 0.0000 11.0929
Cs Tm Mg As
1 3 1 3
Direct
0.0000 0.0000 0.0000 Cs
0.0000 0.5000 0.6453 Tm
0.5000 0.0000 0.3464 Tm
0.5000 0.0000 0.6633 Tm
0.0000 0.5000 0.3299 Mg
0.0000 0.0000 0.4971 As
0.5000 0.5000 0.2105 As
0.5000 0.5000 0.7932 As
```



Record 7
This entry pairs a crystal structure of YHoGe2Ir with its simulated XRD peak list. Radiation: copper Kα. Structure: DFT lattice parameters and positions (GGA-PBE).
Intensities are scaled so that the largest is 100.

Most intense lines, 2θ from 10° to 90°, low angle first:
32.7°, intensity 69
33.6°, intensity 100
34.2°, intensity 25
36.9°, intensity 44
40.3°, intensity 78
42.0°, intensity 56

Cell and atoms:
```
YHoGe2Ir
1.0
5.2539 -2.1531 0.0000
5.2539 2.1531 0.0000
-4.6514 0.0000 9.2037
Y Ho Ge Ir
2 2 4 2
Direct
0.1899 0.1899 0.1181 Y
0.8101 0.8101 0.8819 Y
0.0083 0.0083 0.3299 Ho
0.9917 0.9917 0.6701 Ho
0.3533 0.3533 0.4471 Ge
0.4792 0.4792 0.1157 Ge
0.5208 0.5208 0.8843 Ge
0.6467 0.6467 0.5529 Ge
0.2715 0.2715 0.6643 Ir
0.7285 0.7285 0.3357 Ir
```



Record 8
This entry pairs a crystal structure of Pr2Mg3HgPd2 with its simulated XRD peak list. Radiation: copper Kα. Structure: DFT lattice parameters and positions (GGA-PBE).
Intensities are scaled so that the largest is 100.

Most intense lines, 2θ from 10° to 90°, low angle first:
16.3°, intensity 65
25.9°, intensity 52
31.7°, intensity 54
35.7°, intensity 58
36.8°, intensity 75
38.4°, intensity 100

Cell and atoms:
```
Pr2Mg3HgPd2
1.0
10.9110 -1.7416 0.0000
10.9110 1.7416 0.0000
-0.3881 0.0000 5.0360
Pr Mg Hg Pd
2 3 1 2
Direct
0.0000 0.0000 0.0000 Pr
0.2482 0.2482 0.5821 Pr
0.1579 0.1579 0.0519 Mg
0.3655 0.3655 0.0549 Mg
0.8803 0.8803 0.5330 Mg
0.0943 0.0943 0.5307 Hg
0.4717 0.4717 0.4702 Pd
0.7685 0.7685 0.1007 Pd
```